Simulated powder X-ray diffraction pattern
Compound: MgTl4W2O8
Radiation: Cu Ka
Structure: a structure optimized by DFT (GGA+U)
Intensities are scaled so that the largest is 100.

Peak list (10 most intense, 5° ≤ 2θ ≤ 70°, sorted by position)
Position (°2θ)	I (rel.)
25.9	53
26.2	100
27.0	39
27.9	8
37.9	29
40.4	8
45.7	12
46.3	18
47.0	10
47.2	13

Structure:
```
data_MgTl4W2O8
_chemical_formula_sum 'Mg1 Tl4 W2 O8'
_space_group_name_H-M_alt 'P 1'
_space_group_IT_number 1
_cell_length_a 6.898
_cell_length_b 6.898
_cell_length_c 8.357
_cell_angle_alpha 90.86
_cell_angle_beta 90.86
_cell_angle_gamma 57.18
loop_
_space_group_symop_operation_xyz
'x,y,z'
loop_
_atom_site_label
_atom_site_fract_x
_atom_site_fract_y
_atom_site_fract_z
Mg1 0.000 0.000 0.000
Tl1 0.224 0.224 0.822
Tl2 0.500 0.500 0.000
Tl3 0.500 0.500 0.500
Tl4 0.776 0.776 0.178
W1 0.175 0.175 0.325
W2 0.825 0.825 0.675
O1 0.112 0.676 0.767
O2 0.160 0.160 0.541
O3 0.320 0.320 0.270
O4 0.324 0.888 0.233
O5 0.676 0.112 0.767
O6 0.680 0.680 0.730
O7 0.840 0.840 0.459
O8 0.888 0.324 0.233
```

Simulated powder X-ray diffraction pattern
Compound: MgTl4W2O8
Radiation: Cu Ka
Structure: a structure optimized by DFT (GGA+U)
Intensities are scaled so that the largest is 100.

Peak list (10 most intense, 5° ≤ 2θ ≤ 70°, sorted by position)
Position (°2θ)	I (rel.)
25.0	42
26.1	82
27.2	100
27.4	48
37.4	28
38.8	18
45.4	14
47.0	17
48.9	16
49.4	10

Structure:
```
data_MgTl4W2O8
_chemical_formula_sum 'Mg1 Tl4 W2 O8'
_space_group_name_H-M_alt 'P 1'
_space_group_IT_number 1
_cell_length_a 6.585
_cell_length_b 6.585
_cell_length_c 8.214
_cell_angle_alpha 91.23
_cell_angle_beta 91.23
_cell_angle_gamma 65.59
loop_
_space_group_symop_operation_xyz
'x,y,z'
loop_
_atom_site_label
_atom_site_fract_x
_atom_site_fract_y
_atom_site_fract_z
Mg1 0.000 0.000 0.000
Tl1 0.292 0.708 0.500
Tl2 0.439 0.561 0.000
Tl3 0.624 0.017 0.670
Tl4 0.983 0.376 0.330
W1 0.639 0.003 0.213
W2 0.997 0.361 0.787
O1 0.004 0.318 0.011
O2 0.029 0.069 0.743
O3 0.233 0.411 0.718
O4 0.434 0.267 0.291
O5 0.589 0.767 0.282
O6 0.682 0.996 0.989
O7 0.733 0.566 0.709
O8 0.931 0.971 0.257
```

Simulated powder X-ray diffraction pattern
Compound: Tm2MgV2O8
Radiation: Cu Ka
Structure: a structure optimized by DFT (GGA+U)
Intensities are scaled so that the largest is 100.

Peak list (10 most intense, 5° ≤ 2θ ≤ 70°, sorted by position)
Position (°2θ)	I (rel.)
18.4	57
24.3	100
31.0	19
32.5	25
32.7	24
32.9	35
34.0	16
39.5	25
48.8	31
49.9	17

Structure:
```
data_Tm2MgV2O8
_chemical_formula_sum 'Tm2 Mg1 V2 O8'
_space_group_name_H-M_alt 'P 1'
_space_group_IT_number 1
_cell_length_a 6.017
_cell_length_b 6.017
_cell_length_c 6.162
_cell_angle_alpha 106.13
_cell_angle_beta 106.13
_cell_angle_gamma 115.30
loop_
_space_group_symop_operation_xyz
'x,y,z'
loop_
_atom_site_label
_atom_site_fract_x
_atom_site_fract_y
_atom_site_fract_z
Tm1 0.000 0.000 0.000
Tm2 0.716 0.284 0.500
Mg1 0.010 0.990 0.500
V1 0.277 0.723 0.500
V2 0.491 0.509 0.000
O1 0.057 0.359 0.316
O2 0.060 0.764 0.664
O3 0.121 0.317 0.790
O4 0.236 0.940 0.336
O5 0.476 0.322 0.186
O6 0.641 0.943 0.684
O7 0.678 0.524 0.814
O8 0.683 0.879 0.210
```

Simulated powder X-ray diffraction pattern
Compound: MgVO2
Radiation: Cu Ka
Structure: a structure optimized by DFT (GGA+U)
Intensities are scaled so that the largest is 100.

Peak list (10 most intense, 5° ≤ 2θ ≤ 70°, sorted by position)
Position (°2θ)	I (rel.)
11.2	100
22.4	31
22.6	38
32.9	41
35.3	38
35.5	37
38.6	43
38.9	49
42.3	44
62.0	37

Structure:
```
data_MgVO2
_chemical_formula_sum 'Mg4 V4 O8'
_space_group_name_H-M_alt 'P 1'
_space_group_IT_number 1
_cell_length_a 2.925
_cell_length_b 8.003
_cell_length_c 8.072
_cell_angle_alpha 85.35
_cell_angle_beta 79.59
_cell_angle_gamma 80.14
loop_
_space_group_symop_operation_xyz
'x,y,z'
loop_
_atom_site_label
_atom_site_fract_x
_atom_site_fract_y
_atom_site_fract_z
Mg1 0.059 0.096 0.249
Mg2 0.185 0.687 0.465
Mg3 0.815 0.313 0.535
Mg4 0.941 0.904 0.751
V1 0.172 0.258 0.879
V2 0.445 0.414 0.189
V3 0.555 0.586 0.811
V4 0.828 0.742 0.121
O1 0.184 0.454 0.673
O2 0.209 0.849 0.260
O3 0.384 0.812 0.935
O4 0.432 0.219 0.386
O5 0.568 0.781 0.614
O6 0.616 0.188 0.065
O7 0.791 0.151 0.740
O8 0.816 0.546 0.327
```

Simulated powder X-ray diffraction pattern
Compound: MgV4O9
Radiation: Cu Ka
Structure: a structure optimized by DFT (GGA+U)
Intensities are scaled so that the largest is 100.

Peak list (10 most intense, 5° ≤ 2θ ≤ 70°, sorted by position)
Position (°2θ)	I (rel.)
17.7	57
30.0	100
30.5	13
34.2	44
43.7	28
49.1	35
52.6	19
58.6	19
66.5	13
67.8	15

Structure:
```
data_MgV4O9
_chemical_formula_sum 'Mg2 V8 O18'
_space_group_name_H-M_alt 'P 1'
_space_group_IT_number 1
_cell_length_a 8.295
_cell_length_b 8.295
_cell_length_c 4.998
_cell_angle_alpha 90.00
_cell_angle_beta 90.00
_cell_angle_gamma 90.00
loop_
_space_group_symop_operation_xyz
'x,y,z'
loop_
_atom_site_label
_atom_site_fract_x
_atom_site_fract_y
_atom_site_fract_z
Mg1 0.250 0.250 0.160
Mg2 0.750 0.750 0.840
V1 0.032 0.840 0.369
V2 0.160 0.532 0.631
V3 0.340 0.968 0.631
V4 0.468 0.660 0.369
V5 0.532 0.340 0.631
V6 0.660 0.032 0.369
V7 0.840 0.468 0.369
V8 0.968 0.160 0.631
O1 0.020 0.185 0.948
O2 0.047 0.356 0.447
O3 0.144 0.047 0.447
O4 0.185 0.480 0.948
O5 0.250 0.750 0.500
O6 0.315 0.020 0.948
O7 0.356 0.453 0.447
O8 0.453 0.144 0.447
O9 0.480 0.315 0.948
O10 0.520 0.685 0.052
O11 0.547 0.856 0.553
O12 0.644 0.547 0.553
O13 0.685 0.980 0.052
O14 0.750 0.250 0.500
O15 0.815 0.520 0.052
O16 0.856 0.953 0.553
O17 0.953 0.644 0.553
O18 0.980 0.815 0.052
```

Simulated powder X-ray diffraction pattern
Compound: MgV3O8
Radiation: Cu Ka
Structure: a structure optimized by DFT (GGA+U)
Intensities are scaled so that the largest is 100.

Peak list (10 most intense, 5° ≤ 2θ ≤ 70°, sorted by position)
Position (°2θ)	I (rel.)
13.0	14
20.5	16
26.2	80
26.8	100
27.4	68
28.3	22
35.3	21
39.7	17
53.7	34
59.4	20

Structure:
```
data_MgV3O8
_chemical_formula_sum 'Mg4 V12 O32'
_space_group_name_H-M_alt 'P 1'
_space_group_IT_number 1
_cell_length_a 7.848
_cell_length_b 8.685
_cell_length_c 10.564
_cell_angle_alpha 90.00
_cell_angle_beta 119.88
_cell_angle_gamma 90.00
loop_
_space_group_symop_operation_xyz
'x,y,z'
loop_
_atom_site_label
_atom_site_fract_x
_atom_site_fract_y
_atom_site_fract_z
Mg1 0.207 0.185 0.386
Mg2 0.207 0.315 0.886
Mg3 0.793 0.685 0.114
Mg4 0.793 0.815 0.614
V1 0.207 0.503 0.181
V2 0.207 0.997 0.681
V3 0.234 0.680 0.897
V4 0.234 0.820 0.397
V5 0.274 0.506 0.622
V6 0.274 0.994 0.122
V7 0.726 0.006 0.878
V8 0.726 0.494 0.378
V9 0.766 0.180 0.603
V10 0.766 0.320 0.103
V11 0.793 0.003 0.319
V12 0.793 0.497 0.819
O1 0.112 0.157 0.717
O2 0.112 0.343 0.217
O3 0.127 0.669 0.229
O4 0.127 0.831 0.729
O5 0.183 0.505 0.003
O6 0.183 0.995 0.503
O7 0.191 0.665 0.515
O8 0.191 0.835 0.015
O9 0.200 0.155 0.022
O10 0.200 0.345 0.522
O11 0.211 0.504 0.762
O12 0.211 0.996 0.262
O13 0.460 0.007 0.799
O14 0.460 0.493 0.299
O15 0.478 0.694 0.987
O16 0.478 0.806 0.487
O17 0.522 0.194 0.513
O18 0.522 0.306 0.013
O19 0.540 0.507 0.701
O20 0.540 0.993 0.201
O21 0.789 0.004 0.738
O22 0.789 0.496 0.238
O23 0.800 0.655 0.478
O24 0.800 0.845 0.978
O25 0.809 0.165 0.985
O26 0.809 0.335 0.485
O27 0.817 0.005 0.497
O28 0.817 0.495 0.997
O29 0.873 0.169 0.271
O30 0.873 0.331 0.771
O31 0.888 0.657 0.783
O32 0.888 0.843 0.283
```

Simulated powder X-ray diffraction pattern
Compound: MgV5O12
Radiation: Cu Ka
Structure: a structure optimized by DFT (GGA+U)
Intensities are scaled so that the largest is 100.

Peak list (10 most intense, 5° ≤ 2θ ≤ 70°, sorted by position)
Position (°2θ)	I (rel.)
11.8	60
23.7	90
24.0	100
24.7	87
28.3	52
33.0	55
33.1	62
33.9	51
34.9	46
35.8	42

Structure:
```
data_MgV5O12
_chemical_formula_sum 'Mg1 V5 O12'
_space_group_name_H-M_alt 'P 1'
_space_group_IT_number 1
_cell_length_a 5.047
_cell_length_b 5.322
_cell_length_c 7.555
_cell_angle_alpha 95.48
_cell_angle_beta 90.68
_cell_angle_gamma 91.52
loop_
_space_group_symop_operation_xyz
'x,y,z'
loop_
_atom_site_label
_atom_site_fract_x
_atom_site_fract_y
_atom_site_fract_z
Mg1 0.000 0.000 0.000
V1 0.020 0.592 0.222
V2 0.479 0.090 0.676
V3 0.495 0.685 0.911
V4 0.516 0.117 0.224
V5 0.977 0.565 0.683
O1 0.160 0.573 0.959
O2 0.196 0.251 0.656
O3 0.202 0.873 0.258
O4 0.320 0.768 0.684
O5 0.327 0.370 0.268
O6 0.391 0.043 0.981
O7 0.607 0.066 0.462
O8 0.676 0.380 0.788
O9 0.710 0.757 0.126
O10 0.787 0.864 0.788
O11 0.822 0.259 0.161
O12 0.899 0.575 0.464
```

Simulated powder X-ray diffraction pattern
Compound: MgVO2
Radiation: Cu Ka
Structure: a structure optimized by DFT (GGA+U)
Intensities are scaled so that the largest is 100.

Peak list (10 most intense, 5° ≤ 2θ ≤ 70°, sorted by position)
Position (°2θ)	I (rel.)
14.1	100
21.3	44
22.7	43
32.2	50
34.0	66
35.2	28
36.7	41
41.2	27
48.5	40
50.9	36

Structure:
```
data_MgVO2
_chemical_formula_sum 'Mg4 V4 O8'
_space_group_name_H-M_alt 'P 1'
_space_group_IT_number 1
_cell_length_a 8.531
_cell_length_b 8.531
_cell_length_c 11.170
_cell_angle_alpha 130.82
_cell_angle_beta 130.82
_cell_angle_gamma 20.34
loop_
_space_group_symop_operation_xyz
'x,y,z'
loop_
_atom_site_label
_atom_site_fract_x
_atom_site_fract_y
_atom_site_fract_z
Mg1 0.069 0.069 0.364
Mg2 0.355 0.355 0.279
Mg3 0.645 0.645 0.721
Mg4 0.931 0.931 0.636
V1 0.239 0.239 0.360
V2 0.369 0.369 0.032
V3 0.631 0.631 0.968
V4 0.761 0.761 0.640
O1 0.086 0.086 0.791
O2 0.144 0.144 0.594
O3 0.194 0.194 0.123
O4 0.350 0.350 0.634
O5 0.650 0.650 0.366
O6 0.806 0.806 0.877
O7 0.856 0.856 0.406
O8 0.914 0.914 0.209
```